No. 1
# Sr2MgMoO4
Computed powder diffractogram, Cu Kα (λ = 1.5418 Å). Input: DFT lattice parameters and positions (PBE+U).
Peak positions follow from Bragg's law for the DFT cell and can differ from measured ones.

```
data_Sr2MgMoO4
_symmetry_space_group_name_H-M 'I 4/m m m'
_symmetry_Int_Tables_number 139
_symmetry_space_group_name_Hall '-I 4 2'
_cell_length_a 4.106
_cell_length_b 4.106
_cell_length_c 19.098
_cell_angle_alpha 90.00
_cell_angle_beta 90.00
_cell_angle_gamma 90.00
loop_
_atom_site_label
_atom_site_type_symbol
_atom_site_fract_x
_atom_site_fract_y
_atom_site_fract_z
Sr1 Sr 0.000 0.000 0.188
Mg1 Mg 0.000 0.000 0.000
Mo1 Mo 0.000 0.000 0.500
O1 O 0.000 0.000 0.308
O2 O 0.000 0.500 0.000
```

Largest 10 diffraction maxima, low angle first, 15° ≤ 2θ ≤ 90°:
18.58 deg, rel. 39, (0 0 4); 25.82 deg, rel. 100, (1 0 3); 28.03 deg, rel. 45, (0 0 6); 30.79 deg, rel. 70, (1 1 0); 42.12 deg, rel. 35, (1 1 6); 44.11 deg, rel. 37, (2 0 0); 48.26 deg, rel. 18, (2 0 4); 51.81 deg, rel. 30, (2 1 3); 53.08 deg, rel. 27, (2 0 6); 57.78 deg, rel. 15, (1 1 10)

No. 2
# Sr10Mg5Mo3W2O30
Computed powder diffractogram, Cu Kα (λ = 1.5418 Å). Input: DFT lattice parameters and positions (PBE+U).
Peak positions follow from Bragg's law for the DFT cell and can differ from measured ones.

```
data_Sr10Mg5Mo3W2O30
_symmetry_space_group_name_H-M 'P -1'
_symmetry_Int_Tables_number 2
_cell_length_a 5.660
_cell_length_b 5.682
_cell_length_c 20.378
_cell_angle_alpha 82.10
_cell_angle_beta 82.06
_cell_angle_gamma 89.59
loop_
_symmetry_equiv_pos_as_xyz
'x,y,z'
'-x,-y,-z'
loop_
_atom_site_label
_atom_site_type_symbol
_atom_site_fract_x
_atom_site_fract_y
_atom_site_fract_z
Sr1 Sr 0.049 0.049 0.401
Sr2 Sr 0.151 0.150 0.200
Sr3 Sr 0.249 0.250 0.000
Sr4 Sr 0.351 0.351 0.799
Sr5 Sr 0.449 0.450 0.600
Mg1 Mg 0.000 0.500 0.500
Mg2 Mg 0.200 0.700 0.100
Mg3 Mg 0.400 0.900 0.700
Mo1 Mo 0.100 0.600 0.300
Mo2 Mo 0.500 0.000 0.500
W1 W 0.300 0.800 0.900
O1 O 0.023 0.588 0.397
O2 O 0.041 0.574 0.901
O3 O 0.080 0.062 0.887
O4 O 0.121 0.139 0.713
O5 O 0.159 0.626 0.699
O6 O 0.177 0.612 0.204
O7 O 0.223 0.788 0.997
O8 O 0.241 0.774 0.501
O9 O 0.279 0.262 0.487
O10 O 0.321 0.338 0.313
O11 O 0.359 0.826 0.299
O12 O 0.377 0.812 0.803
O13 O 0.423 0.988 0.597
O14 O 0.441 0.974 0.101
O15 O 0.479 0.462 0.087
```

Largest 10 diffraction maxima, low angle first, 15° ≤ 2θ ≤ 90°:
19.19 deg, rel. 46, (0 1 -2); 31.49 deg, rel. 49, (0 2 1); 31.63 deg, rel. 100, (1 -1 5); 45.05 deg, rel. 18, (2 2 2); 45.37 deg, rel. 17, (0 0 10); 45.40 deg, rel. 17, (2 -2 0); 56.16 deg, rel. 21, (1 -3 4); 56.28 deg, rel. 16, (2 0 -9); 56.39 deg, rel. 20, (3 -1 6); 65.74 deg, rel. 10, (0 4 2)

No. 3
# Sr2MgZnMoO6
Computed powder diffractogram, Cu Kα (λ = 1.5418 Å). Input: DFT lattice parameters and positions (PBE+U).
Peak positions follow from Bragg's law for the DFT cell and can differ from measured ones.

```
data_Sr2MgZnMoO6
_symmetry_space_group_name_H-M 'R 3 m'
_symmetry_Int_Tables_number 160
_symmetry_space_group_name_Hall 'R 3 -2"'
_cell_length_a 5.9684
_cell_length_b 5.9684
_cell_length_c 16.0974
_cell_angle_alpha 90.00
_cell_angle_beta 90.00
_cell_angle_gamma 120.00
loop_
_atom_site_label
_atom_site_type_symbol
_atom_site_fract_x
_atom_site_fract_y
_atom_site_fract_z
Sr1 Sr 0.0000 0.0000 0.0000
Sr2 Sr 0.0000 0.0000 0.4118
Mg1 Mg 0.0000 0.0000 0.6336
Zn1 Zn 0.0000 0.0000 0.8034
Mo1 Mo 0.0000 0.0000 0.2066
O1 O 0.0262 0.5131 0.9533
O2 O 0.1793 0.3586 0.7869
```

Largest 10 diffraction maxima, low angle first, 15° ≤ 2θ ≤ 90°:
18.02 deg, rel. 20, (1 0 1); 29.94 deg, rel. 100, (1 1 0); 32.77 deg, rel. 83, (0 1 5); 41.53 deg, rel. 15, (0 2 4); 44.98 deg, rel. 36, (2 0 5); 53.16 deg, rel. 19, (3 0 0); 54.98 deg, rel. 43, (1 2 5); 60.21 deg, rel. 14, (1 0 10); 62.22 deg, rel. 20, (2 2 0); 72.12 deg, rel. 16, (3 1 5)

No. 4
# Sr2MgZnMoO6
Computed powder diffractogram, Cu Kα (λ = 1.5418 Å). Input: DFT lattice parameters and positions (PBE+U).
Peak positions follow from Bragg's law for the DFT cell and can differ from measured ones.

```
data_Sr2MgZnMoO6
_symmetry_space_group_name_H-M 'P 1'
_symmetry_Int_Tables_number 1
_cell_length_a 5.676
_cell_length_b 5.686
_cell_length_c 5.845
_cell_angle_alpha 61.82
_cell_angle_beta 63.55
_cell_angle_gamma 79.33
loop_
_symmetry_equiv_pos_as_xyz
'x,y,z'
loop_
_atom_site_label
_atom_site_type_symbol
_atom_site_fract_x
_atom_site_fract_y
_atom_site_fract_z
Sr1 Sr 0.000 0.000 0.000
Sr2 Sr 0.372 0.722 0.449
Mg1 Mg 0.753 0.576 0.798
Zn1 Zn 0.621 0.168 0.652
Mo1 Mo 0.184 0.361 0.228
O1 O 0.030 0.468 0.942
O2 O 0.338 0.250 0.521
O3 O 0.406 0.710 0.987
O4 O 0.538 0.186 0.016
O5 O 0.838 0.548 0.438
O6 O 0.955 0.998 0.495
```

Largest 10 diffraction maxima, low angle first, 15° ≤ 2θ ≤ 90°:
30.72 deg, rel. 100, (1 1 2); 30.83 deg, rel. 77, (1 0 -1); 31.57 deg, rel. 56, (1 -1 1); 32.20 deg, rel. 70, (0 2 1); 33.32 deg, rel. 53, (2 1 1); 39.26 deg, rel. 59, (2 -1 0); 40.66 deg, rel. 63, (1 2 0); 49.37 deg, rel. 35, (-1 2 2); 49.68 deg, rel. 23, (0 1 -2); 54.77 deg, rel. 26, (2 0 3)

No. 5
# Sr2MgZnMoO6
Computed powder diffractogram, Cu Kα (λ = 1.5418 Å). Input: DFT lattice parameters and positions (PBE+U).
Peak positions follow from Bragg's law for the DFT cell and can differ from measured ones.

```
data_Sr2MgZnMoO6
_symmetry_space_group_name_H-M 'I m m m'
_symmetry_Int_Tables_number 71
_symmetry_space_group_name_Hall '-I 2 2'
_cell_length_a 5.632
_cell_length_b 5.790
_cell_length_c 9.974
_cell_angle_alpha 90.00
_cell_angle_beta 90.00
_cell_angle_gamma 90.00
loop_
_atom_site_label
_atom_site_type_symbol
_atom_site_fract_x
_atom_site_fract_y
_atom_site_fract_z
Sr1 Sr 0.000 0.000 0.176
Mg1 Mg 0.000 0.000 0.500
Zn1 Zn 0.000 0.500 0.000
Mo1 Mo 0.000 0.500 0.500
O1 O 0.000 0.500 0.294
O2 O 0.246 0.259 0.000
```

Largest 10 diffraction maxima, low angle first, 15° ≤ 2θ ≤ 90°:
17.75 deg, rel. 53, (0 0 2); 28.44 deg, rel. 100, (1 1 2); 30.89 deg, rel. 48, (0 2 0); 31.02 deg, rel. 34, (0 1 3); 31.24 deg, rel. 32, (1 0 3); 31.77 deg, rel. 44, (2 0 0); 42.62 deg, rel. 29, (1 1 4); 44.51 deg, rel. 25, (1 2 3); 44.93 deg, rel. 84, (2 2 0); 73.85 deg, rel. 22, (2 2 6)

No. 6
# Sr2MgZnMoO6
Computed powder diffractogram, Cu Kα (λ = 1.5418 Å). Input: DFT lattice parameters and positions (PBE+U).
Peak positions follow from Bragg's law for the DFT cell and can differ from measured ones.

```
data_Sr2MgZnMoO6
_symmetry_space_group_name_H-M 'P -1'
_symmetry_Int_Tables_number 2
_cell_length_a 5.453
_cell_length_b 5.799
_cell_length_c 6.077
_cell_angle_alpha 110.76
_cell_angle_beta 106.15
_cell_angle_gamma 100.67
loop_
_symmetry_equiv_pos_as_xyz
'x,y,z'
'-x,-y,-z'
loop_
_atom_site_label
_atom_site_type_symbol
_atom_site_fract_x
_atom_site_fract_y
_atom_site_fract_z
Sr1 Sr 0.177 0.248 0.422
Mg1 Mg 0.500 0.500 0.000
Zn1 Zn 0.500 0.000 0.000
Mo1 Mo 0.000 0.500 0.000
O1 O 0.140 0.197 0.831
O2 O 0.243 0.677 0.835
O3 O 0.348 0.617 0.297
```

Largest 10 diffraction maxima, low angle first, 15° ≤ 2θ ≤ 90°:
26.20 deg, rel. 56, (1 -1 1); 27.15 deg, rel. 100, (-1 1 1); 28.65 deg, rel. 52, (1 1 0); 31.46 deg, rel. 64, (0 2 -1); 31.82 deg, rel. 69, (1 1 -2); 33.63 deg, rel. 40, (2 0 -1); 34.01 deg, rel. 30, (0 0 2); 41.81 deg, rel. 29, (2 -2 0); 45.39 deg, rel. 25, (0 2 1); 51.25 deg, rel. 51, (2 2 -2)

No. 7
# Mg2TaMoO6
Computed powder diffractogram, Cu Kα (λ = 1.5418 Å). Input: DFT lattice parameters and positions (PBE+U).
Peak positions follow from Bragg's law for the DFT cell and can differ from measured ones.

```
data_Mg2TaMoO6
_symmetry_space_group_name_H-M 'P 1 21/m 1'
_symmetry_Int_Tables_number 11
_cell_length_a 5.344
_cell_length_b 7.743
_cell_length_c 5.462
_cell_angle_alpha 90.00
_cell_angle_beta 91.37
_cell_angle_gamma 90.00
loop_
_symmetry_equiv_pos_as_xyz
'x,y,z'
'-x,-y,-z'
'-x,y+1/2,-z'
'x,-y+1/2,z'
loop_
_atom_site_label
_atom_site_type_symbol
_atom_site_fract_x
_atom_site_fract_y
_atom_site_fract_z
Mg1 Mg 0.001 0.250 0.049
Mg2 Mg 0.494 0.250 0.535
Ta1 Ta 0.500 0.000 0.000
Mo1 Mo 0.000 0.000 0.500
O1 O 0.138 0.250 0.406
O2 O 0.188 0.569 0.165
O3 O 0.343 0.570 0.687
O4 O 0.371 0.250 0.927
```

Largest 10 diffraction maxima, low angle first, 15° ≤ 2θ ≤ 90°:
22.99 deg, rel. 99, (0 2 0); 23.57 deg, rel. 48, (1 0 1); 32.76 deg, rel. 100, (1 2 -1); 33.15 deg, rel. 64, (1 2 1); 33.55 deg, rel. 29, (2 0 0); 41.05 deg, rel. 17, (2 2 0); 46.98 deg, rel. 32, (0 4 0); 52.93 deg, rel. 23, (2 2 -2); 58.44 deg, rel. 16, (0 4 2); 59.21 deg, rel. 18, (3 2 -1)

No. 8
# MgZn2Te2Mo2O12
Computed powder diffractogram, Cu Kα (λ = 1.5418 Å). Input: DFT lattice parameters and positions (PBE+U).
Peak positions follow from Bragg's law for the DFT cell and can differ from measured ones.

```
data_MgZn2Te2Mo2O12
_symmetry_space_group_name_H-M 'P 1'
_symmetry_Int_Tables_number 1
_cell_length_a 5.091
_cell_length_b 5.352
_cell_length_c 10.223
_cell_angle_alpha 88.79
_cell_angle_beta 87.96
_cell_angle_gamma 88.85
loop_
_symmetry_equiv_pos_as_xyz
'x,y,z'
loop_
_atom_site_label
_atom_site_type_symbol
_atom_site_fract_x
_atom_site_fract_y
_atom_site_fract_z
Mg1 Mg 0.000 0.000 0.000
Zn1 Zn 0.493 0.511 0.476
Zn2 Zn 0.980 0.011 0.518
Te1 Te 0.497 0.015 0.281
Te2 Te 0.988 0.516 0.713
Mo1 Mo 0.006 0.499 0.231
Mo2 Mo 0.509 0.045 0.774
O1 O 0.124 0.247 0.123
O2 O 0.192 0.682 0.577
O3 O 0.232 0.210 0.680
O4 O 0.250 0.192 0.397
O5 O 0.275 0.694 0.300
O6 O 0.280 0.864 0.882
O7 O 0.708 0.836 0.406
O8 O 0.720 0.333 0.323
O9 O 0.733 0.173 0.890
O10 O 0.739 0.826 0.677
O11 O 0.749 0.326 0.609
O12 O 0.863 0.741 0.121
```

Largest 10 diffraction maxima, low angle first, 15° ≤ 2θ ≤ 90°:
17.37 deg, rel. 44, (0 0 2); 23.89 deg, rel. 30, (1 1 0); 24.27 deg, rel. 19, (1 0 2); 24.38 deg, rel. 21, (1 -1 0); 29.11 deg, rel. 54, (1 1 2); 29.92 deg, rel. 51, (1 -1 2); 30.26 deg, rel. 100, (1 1 -2); 33.50 deg, rel. 25, (0 2 0); 35.29 deg, rel. 20, (2 0 0); 49.92 deg, rel. 30, (2 -2 0)

No. 9
# MgZn2Te2Mo2O12
Computed powder diffractogram, Cu Kα (λ = 1.5418 Å). Input: DFT lattice parameters and positions (PBE+U).
Peak positions follow from Bragg's law for the DFT cell and can differ from measured ones.

```
data_MgZn2Te2Mo2O12
_symmetry_space_group_name_H-M 'P 1 2 1'
_symmetry_Int_Tables_number 3
_cell_length_a 5.095
_cell_length_b 10.266
_cell_length_c 5.343
_cell_angle_alpha 90.00
_cell_angle_beta 91.72
_cell_angle_gamma 90.00
loop_
_symmetry_equiv_pos_as_xyz
'x,y,z'
'-x,y,-z'
loop_
_atom_site_label
_atom_site_type_symbol
_atom_site_fract_x
_atom_site_fract_y
_atom_site_fract_z
Mg1 Mg 0.000 0.000 0.000
Zn1 Zn 0.000 0.514 0.000
Zn2 Zn 0.500 0.471 0.500
Te1 Te 0.000 0.707 0.500
Te2 Te 0.500 0.277 0.000
Mo1 Mo 0.000 0.231 0.500
Mo2 Mo 0.500 0.774 0.000
O1 O 0.132 0.120 0.747
O2 O 0.218 0.587 0.321
O3 O 0.251 0.674 0.808
O4 O 0.268 0.397 0.820
O5 O 0.272 0.884 0.154
O6 O 0.278 0.309 0.319
```

Largest 10 diffraction maxima, low angle first, 15° ≤ 2θ ≤ 90°:
17.28 deg, rel. 39, (0 2 0); 23.78 deg, rel. 20, (1 0 -1); 24.51 deg, rel. 19, (1 0 1); 24.62 deg, rel. 28, (1 2 0); 29.54 deg, rel. 100, (1 2 -1); 30.15 deg, rel. 91, (1 2 1); 33.56 deg, rel. 24, (0 0 2); 35.24 deg, rel. 19, (2 0 0); 49.25 deg, rel. 21, (0 4 2); 50.49 deg, rel. 20, (2 4 0)